PaAg3Cl9: simulated XRD peak list (copper Kα), based on the PBE geometry in Alexandria.

The 10 most intense peaks (10 to 90 degrees two-theta), low angle first:
Position (°2θ)	intensity	index
10.90	23.9	1 1 0
12.11	25.1	2 0 0
14.01	19.7	2 0 -2
15.98	100.0	1 1 1
17.25	29.4	0 0 2
18.17	19.7	0 2 0
18.43	25.2	3 1 -2
19.79	25.0	4 0 -2
21.89	26.4	2 2 0
23.01	53.6	2 2 -2

Atomic structure:
```
data_PaAg3Cl9
_space_group_name_H-M_alt 'C 1 c 1'
_space_group_IT_number 9
_cell_length_a 18.1384
_cell_length_b 9.7651
_cell_length_c 12.7611
_cell_angle_alpha 90.00
_cell_angle_beta 126.33
_cell_angle_gamma 90.00
loop_
_space_group_symop_operation_xyz
'x,y,z'
'x,-y,z+1/2'
'x+1/2,y+1/2,z'
'x+1/2,-y+1/2,z+1/2'
loop_
_atom_site_label
_atom_site_fract_x
_atom_site_fract_y
_atom_site_fract_z
Pa1 0.0000 0.2419 0.0000
Ag1 0.1157 0.3389 0.7587
Ag2 0.1437 0.1907 0.5884
Ag3 0.3079 0.4339 0.5781
Cl1 0.0004 0.2500 0.5443
Cl2 0.0167 0.3921 0.8467
Cl3 0.1247 0.0772 0.0302
Cl4 0.1281 0.3784 0.1970
Cl5 0.2674 0.3545 0.9579
Cl6 0.2969 0.2167 0.6586
Cl7 0.3771 0.4059 0.3130
Cl8 0.3806 0.0944 0.4632
Cl9 0.4859 0.3984 0.6591
```